No. 1
Theoretical X-ray powder pattern of La2InHgN for Cu Ka, from DFT lattice parameters and positions (GGA-PBE).
No peak broadening, texture or thermal motion is included.

Structure:
Lattice parameters (Å, degrees): 4.3057 4.3057 13.5640 90.00 90.00 90.00
Sites, in units of the cell vectors:
La 0.2500 0.2500 0.0828
La 0.2500 0.2500 0.7401
La 0.7500 0.7500 0.2599
La 0.7500 0.7500 0.9172
In 0.2500 0.7500 0.5000
In 0.7500 0.2500 0.5000
Hg 0.2500 0.2500 0.3400
Hg 0.7500 0.7500 0.6600
N 0.2500 0.2500 0.9140
N 0.7500 0.7500 0.0860

The 10 most intense peaks (10 to 90 degrees two-theta), low angle first:
28.6°, rel. 100.0
29.3°, rel. 81.1
32.2°, rel. 63.6
33.0°, rel. 26.6
33.6°, rel. 43.1
35.5°, rel. 83.5
39.3°, rel. 35.7
42.0°, rel. 81.8
51.6°, rel. 39.8
60.9°, rel. 26.9


No. 2
Theoretical X-ray powder pattern of Na2AgGe3Au4 for Cu Ka, from DFT lattice parameters and positions (GGA-PBE).
No peak broadening, texture or thermal motion is included.

Structure:
Lattice parameters (Å, degrees): 4.4434 4.4434 10.9815 90.00 90.00 90.00
Sites, in units of the cell vectors:
Na 0.0000 0.5000 0.2504
Na 0.5000 0.0000 0.7496
Ag 0.0000 0.0000 0.5000
Ge 0.0000 0.5000 0.8727
Ge 0.5000 0.0000 0.1273
Ge 0.5000 0.5000 0.5000
Au 0.0000 0.0000 0.0000
Au 0.0000 0.5000 0.6464
Au 0.5000 0.0000 0.3536
Au 0.5000 0.5000 0.0000

The 10 most intense peaks (10 to 90 degrees two-theta), low angle first:
16.1°, rel. 44.7
21.6°, rel. 71.8
29.6°, rel. 27.4
32.8°, rel. 100.0
40.6°, rel. 70.9
43.8°, rel. 86.7
46.1°, rel. 22.0
58.8°, rel. 23.8
69.0°, rel. 23.2
76.1°, rel. 34.7


No. 3
Theoretical X-ray powder pattern of Sm5IrPd2 for Cu Ka, from DFT lattice parameters and positions (GGA-PBE).
No peak broadening, texture or thermal motion is included.

Structure:
Lattice parameters (Å, degrees): 9.2710 9.2710 9.2710 133.64 133.64 67.65
Sites, in units of the cell vectors:
Sm 0.0000 0.0000 0.0000
Sm 0.0222 0.5222 0.8464
Sm 0.1758 0.0222 0.5000
Sm 0.3242 0.8242 0.8464
Sm 0.4778 0.3242 0.5000
Sm 0.5000 0.5000 0.0000
Sm 0.5222 0.6758 0.5000
Sm 0.6758 0.1758 0.1536
Sm 0.8242 0.9778 0.5000
Sm 0.9778 0.4778 0.1536
Ir 0.2500 0.2500 0.0000
Ir 0.7500 0.7500 0.0000
Pd 0.1312 0.3688 0.5000
Pd 0.3688 0.8688 0.2376
Pd 0.6312 0.1312 0.7624
Pd 0.8688 0.6312 0.5000

The 10 most intense peaks (10 to 90 degrees two-theta), low angle first:
28.9°, rel. 23.6
32.5°, rel. 100.0
33.8°, rel. 47.4
34.8°, rel. 17.9
35.0°, rel. 14.1
39.0°, rel. 48.8
54.9°, rel. 17.0
58.8°, rel. 12.7
62.9°, rel. 12.5
70.1°, rel. 10.5


No. 4
Theoretical X-ray powder pattern of RbAc2BiO6 for Cu Ka, from DFT lattice parameters and positions (GGA-PBE).
No peak broadening, texture or thermal motion is included.

Structure:
Lattice parameters (Å, degrees): 6.7077 6.7077 6.7077 56.57 56.57 56.57
Sites, in units of the cell vectors:
Rb 0.0000 0.0000 0.0000
Ac 0.2588 0.2588 0.2588
Ac 0.7709 0.7709 0.7709
Bi 0.4624 0.4624 0.4624
O 0.0958 0.6026 0.4295
O 0.2251 0.5275 0.8216
O 0.4295 0.0958 0.6026
O 0.5275 0.8216 0.2251
O 0.6026 0.4295 0.0958
O 0.8216 0.2251 0.5275

The 10 most intense peaks (10 to 90 degrees two-theta), low angle first:
19.3°, rel. 31.6
26.7°, rel. 86.8
28.1°, rel. 100.0
39.1°, rel. 34.2
43.0°, rel. 38.8
48.8°, rel. 36.4
49.7°, rel. 27.4
57.2°, rel. 20.7
58.0°, rel. 14.6
64.9°, rel. 21.9